Computed PXRD pattern
Compound: PmPr2S4
Radiation: CuKα
Structure: a cell relaxed with GGA-PBE
No peak broadening, texture or thermal motion is included.

Structural model:
Cell: 7.083 7.083 13.550 Å, 90.00 90.00 147.61°
Fractional positions:
Pm 0.127 0.873 0.750
Pm 0.873 0.127 0.250
Pr 0.371 0.629 0.571
Pr 0.371 0.629 0.929
Pr 0.629 0.371 0.071
Pr 0.629 0.371 0.429
S 0.000 0.000 0.000
S 0.000 0.000 0.500
S 0.278 0.722 0.124
S 0.278 0.722 0.376
S 0.478 0.522 0.750
S 0.522 0.478 0.250
S 0.722 0.278 0.624
S 0.722 0.278 0.876

Peak list (12 most intense, 10° ≤ 2θ ≤ 90°, sorted by position)
2θ/deg  d_spacing  I_rel
23.65  3.763  100
24.36  3.654  27
26.20  3.401  24
26.93  3.310  23
30.73  2.909  37
32.84  2.727  52
40.92  2.205  30
42.49  2.128  18
44.72  2.026  27
45.94  1.976  17
52.30  1.749  24
66.05  1.415  17